Calculated XRD peak list of CeAsSe for copper Kα, from a structure optimized by DFT (GGA-PBE).
Kinematic intensities with the Lorentz-polarization factor, no thermal factor.

Structural model:
```
data_CeAsSe
_chemical_formula_sum 'Ce8 As8 Se8'
_cell_length_a 5.7530
_cell_length_b 5.7371
_cell_length_c 17.3752
_cell_angle_alpha 90.00
_cell_angle_beta 90.00
_cell_angle_gamma 90.00
_symmetry_space_group_name_H-M 'P 1'
_symmetry_Int_Tables_number 1
loop_
_symmetry_equiv_pos_as_xyz
'x,y,z'
loop_
_atom_site_label
_atom_site_type_symbol
_atom_site_fract_x
_atom_site_fract_y
_atom_site_fract_z
Ce1 Ce 0.0051 0.2500 0.1351
Ce2 Ce 0.0049 0.7500 0.3611
Ce3 Ce 0.4951 0.2500 0.8611
Ce4 Ce 0.4949 0.7500 0.6351
Ce5 Ce 0.5051 0.2500 0.3649
Ce6 Ce 0.5049 0.7500 0.1389
Ce7 Ce 0.9951 0.2500 0.6389
Ce8 Ce 0.9949 0.7500 0.8649
As1 As 0.2318 0.0010 0.5000
As2 As 0.2318 0.4990 0.5000
As3 As 0.2682 0.5010 0.0000
As4 As 0.2682 0.9990 0.0000
As5 As 0.7318 0.0010 0.0000
As6 As 0.7318 0.4990 0.0000
As7 As 0.7682 0.5010 0.5000
As8 As 0.7682 0.9990 0.5000
Se1 Se 0.0066 0.2500 0.3144
Se2 Se 0.0067 0.7500 0.1824
Se3 Se 0.4933 0.2500 0.6824
Se4 Se 0.4934 0.7500 0.8144
Se5 Se 0.5066 0.2500 0.1856
Se6 Se 0.5067 0.7500 0.3176
Se7 Se 0.9933 0.2500 0.8176
Se8 Se 0.9934 0.7500 0.6856
```

The 12 most intense peaks (2θ from 10° to 90°), by angle:
| two_theta | d/Å | Rel. int. |
| --- | --- | --- |
| 24.19 | 3.680 | 41 |
| 30.88 | 2.896 | 37 |
| 31.13 | 2.873 | 36 |
| 32.84 | 2.727 | 71 |
| 37.54 | 2.396 | 100 |
| 38.17 | 2.358 | 61 |
| 44.61 | 2.031 | 56 |
| 55.24 | 1.663 | 27 |
| 57.71 | 1.598 | 17 |
| 60.07 | 1.540 | 16 |
| 60.18 | 1.538 | 16 |
| 85.82 | 1.132 | 14 |